K3Mn2F9: computed powder X-ray diffraction pattern (Cu Kα (λ = 1.5418 Å)), based on the GGA+U geometry in Alexandria.
No peak broadening, texture or thermal motion is included.

Largest 10 diffraction maxima, in order of rising 2θ, 15° ≤ 2θ ≤ 90°:
2θ (°), I/Imax
17.60, 33
21.26, 49
29.75, 82
30.73, 58
37.68, 35
43.30, 100
54.04, 29
61.79, 20
64.01, 27
80.45, 11

Crystal structure
```
data_K3Mn2F9
_chemical_formula_sum 'K3 Mn2 F9'
_symmetry_space_group_name_H-M 'P -3 m 1'
_symmetry_Int_Tables_number 164
_symmetry_space_group_name_Hall '-P 3 2"'
_cell_length_a 5.8183
_cell_length_b 5.8183
_cell_length_c 7.4782
_cell_angle_alpha 90.00
_cell_angle_beta 90.00
_cell_angle_gamma 120.00
loop_
_atom_site_label
_atom_site_type_symbol
_atom_site_fract_x
_atom_site_fract_y
_atom_site_fract_z
K1 K 0.0000 0.0000 0.0000
K2 K 0.3333 0.6667 0.3760
Mn1 Mn 0.3333 0.6667 0.8446
F1 F 0.0000 0.5000 0.0000
F2 F 0.1769 0.3538 0.7016
```